No. 1
Structure and computed powder diffraction line list of CsNa2HfI8 (a structure optimized by DFT (PBE); Cu Kα X-rays).
Peak positions follow from Bragg's law for the DFT cell and can differ from measured ones.

Crystal structure
```
data_CsNa2HfI8
_space_group_name_H-M_alt 'P -1'
_space_group_IT_number 2
_space_group_name_Hall '-P 1'
_cell_length_a 6.774
_cell_length_b 7.636
_cell_length_c 10.647
_cell_angle_alpha 90.03
_cell_angle_beta 90.17
_cell_angle_gamma 91.83
loop_
_atom_site_label
_atom_site_type_symbol
_atom_site_fract_x
_atom_site_fract_y
_atom_site_fract_z
Cs1 Cs 0.000 0.000 0.000
Na1 Na 0.500 0.500 0.277
Hf1 Hf 0.000 0.000 0.500
I1 I 0.239 0.318 0.499
I2 I 0.239 0.854 0.310
I3 I 0.241 0.856 0.691
I4 I 0.250 0.490 0.000
```

Principal peaks in the range 2θ from 10° to 90°, by intensity:
| (hkl) | Position (°2θ) | I_rel |
| --- | --- | --- |
| 1 -1 2 | 24.05 | 100 |
| 2 -1 2 | 33.19 | 73 |
| 1 2 0 | 27.19 | 55 |
| 0 0 4 | 33.71 | 53 |
| 0 1 -1 | 14.28 | 49 |
| 0 3 -3 | 43.79 | 48 |
| 1 1 0 | 17.79 | 46 |
| 1 0 0 | 13.08 | 31 |

No. 2
Structure and computed powder diffraction line list of MoPt3I (a structure optimized by DFT (PBE); Cu Kα X-rays).
Peak positions follow from Bragg's law for the DFT cell and can differ from measured ones.

Crystal structure
```
data_MoPt3I
_space_group_name_H-M_alt 'P m -3 m'
_space_group_IT_number 221
_space_group_name_Hall '-P 4 2 3'
_cell_length_a 4.900
_cell_length_b 4.900
_cell_length_c 4.900
_cell_angle_alpha 90.00
_cell_angle_beta 90.00
_cell_angle_gamma 90.00
loop_
_atom_site_label
_atom_site_type_symbol
_atom_site_fract_x
_atom_site_fract_y
_atom_site_fract_z
Mo1 Mo 0.000 0.000 0.000
Pt1 Pt 0.000 0.000 0.500
I1 I 0.500 0.500 0.500
```

Principal peaks in the range 2θ from 10° to 90°, by intensity:
| (hkl) | Position (°2θ) | I_rel |
| --- | --- | --- |
| 1 1 1 | 31.63 | 100 |
| 2 0 0 | 36.68 | 89 |
| 2 2 0 | 52.85 | 63 |
| 3 1 1 | 62.91 | 43 |
| 4 2 0 | 89.43 | 30 |
| 1 0 0 | 18.10 | 22 |
| 2 2 2 | 66.05 | 21 |
| 3 3 1 | 86.60 | 19 |

Number 2 is which compound? MoPt3I

Copy entry 2 word for word.
Structure and computed powder diffraction line list of MoPt3I (a structure optimized by DFT (PBE); Cu Kα X-rays).
Peak positions follow from Bragg's law for the DFT cell and can differ from measured ones.

Crystal structure
```
data_MoPt3I
_space_group_name_H-M_alt 'P m -3 m'
_space_group_IT_number 221
_space_group_name_Hall '-P 4 2 3'
_cell_length_a 4.900
_cell_length_b 4.900
_cell_length_c 4.900
_cell_angle_alpha 90.00
_cell_angle_beta 90.00
_cell_angle_gamma 90.00
loop_
_atom_site_label
_atom_site_type_symbol
_atom_site_fract_x
_atom_site_fract_y
_atom_site_fract_z
Mo1 Mo 0.000 0.000 0.000
Pt1 Pt 0.000 0.000 0.500
I1 I 0.500 0.500 0.500
```

Principal peaks in the range 2θ from 10° to 90°, by intensity:
| (hkl) | Position (°2θ) | I_rel |
| --- | --- | --- |
| 1 1 1 | 31.63 | 100 |
| 2 0 0 | 36.68 | 89 |
| 2 2 0 | 52.85 | 63 |
| 3 1 1 | 62.91 | 43 |
| 4 2 0 | 89.43 | 30 |
| 1 0 0 | 18.10 | 22 |
| 2 2 2 | 66.05 | 21 |
| 3 3 1 | 86.60 | 19 |

Please write out number 1 again, unchanged.
Structure and computed powder diffraction line list of CsNa2HfI8 (a structure optimized by DFT (PBE); Cu Kα X-rays).
Peak positions follow from Bragg's law for the DFT cell and can differ from measured ones.

Crystal structure
```
data_CsNa2HfI8
_space_group_name_H-M_alt 'P -1'
_space_group_IT_number 2
_space_group_name_Hall '-P 1'
_cell_length_a 6.774
_cell_length_b 7.636
_cell_length_c 10.647
_cell_angle_alpha 90.03
_cell_angle_beta 90.17
_cell_angle_gamma 91.83
loop_
_atom_site_label
_atom_site_type_symbol
_atom_site_fract_x
_atom_site_fract_y
_atom_site_fract_z
Cs1 Cs 0.000 0.000 0.000
Na1 Na 0.500 0.500 0.277
Hf1 Hf 0.000 0.000 0.500
I1 I 0.239 0.318 0.499
I2 I 0.239 0.854 0.310
I3 I 0.241 0.856 0.691
I4 I 0.250 0.490 0.000
```

Principal peaks in the range 2θ from 10° to 90°, by intensity:
| (hkl) | Position (°2θ) | I_rel |
| --- | --- | --- |
| 1 -1 2 | 24.05 | 100 |
| 2 -1 2 | 33.19 | 73 |
| 1 2 0 | 27.19 | 55 |
| 0 0 4 | 33.71 | 53 |
| 0 1 -1 | 14.28 | 49 |
| 0 3 -3 | 43.79 | 48 |
| 1 1 0 | 17.79 | 46 |
| 1 0 0 | 13.08 | 31 |